Starting from the PBE+U geometry in the Materials Project, the powder XRD pattern of Li3Ni3P4O16 was simulated for CuKα.
Peak positions follow from Bragg's law for the DFT cell and can differ from measured ones.

Principal peaks in the range 2θ from 5° to 70°, sorted by position:
- 2θ = 16.17°, I 100
- 2θ = 21.04°, I 31
- 2θ = 21.86°, I 32
- 2θ = 23.85°, I 58
- 2θ = 24.58°, I 28
- 2θ = 26.10°, I 68
- 2θ = 30.86°, I 36
- 2θ = 31.45°, I 19
- 2θ = 36.28°, I 21
- 2θ = 38.48°, I 25
- 2θ = 45.18°, I 23
- 2θ = 62.22°, I 19

Cell and atoms:
```
Li3Ni3P4O16
1.0
7.567 0.000 0.000
0.000 7.962 0.000
-0.412 0.000 9.905
Li Ni P O
6 6 8 32
direct
0.165 0.000 0.073
0.167 0.001 0.574
0.331 0.729 0.681
0.669 0.229 0.319
0.833 0.501 0.426
0.835 0.500 0.927
0.221 0.371 0.625
0.243 0.355 0.122
0.344 0.714 0.190
0.656 0.214 0.810
0.757 0.855 0.878
0.779 0.871 0.375
0.054 0.166 0.859
0.062 0.183 0.359
0.430 0.540 0.885
0.432 0.540 0.400
0.568 0.040 0.600
0.570 0.040 0.115
0.938 0.683 0.641
0.946 0.666 0.141
0.006 0.983 0.895
0.019 0.998 0.398
0.093 0.800 0.649
0.110 0.781 0.131
0.130 0.178 0.715
0.156 0.172 0.220
0.204 0.220 0.963
0.212 0.239 0.466
0.273 0.495 0.786
0.286 0.510 0.278
0.335 0.555 0.532
0.354 0.539 0.032
0.413 0.915 0.112
0.415 0.923 0.596
0.488 0.722 0.346
0.493 0.718 0.853
0.507 0.218 0.147
0.512 0.222 0.654
0.585 0.423 0.404
0.587 0.415 0.888
0.646 0.039 0.968
0.665 0.055 0.468
0.714 0.010 0.722
0.727 0.995 0.214
0.788 0.739 0.534
0.796 0.720 0.037
0.844 0.672 0.780
0.870 0.678 0.285
0.890 0.281 0.869
0.907 0.300 0.351
0.981 0.498 0.602
0.994 0.483 0.105
```